No. 1
Structure and theoretical XRD peak list of Pr2Sm2CICl4 (a cell relaxed with GGA-PBE; Cu Ka).

Peak list (10 most intense, 10° ≤ 2θ ≤ 90°, by intensity)
| 2θ (°) | I_rel |
| --- | --- |
| 30.65 | 100 |
| 10.33 | 79 |
| 10.57 | 58 |
| 31.34 | 47 |
| 30.98 | 37 |
| 27.99 | 30 |
| 44.62 | 29 |
| 44.19 | 28 |
| 20.73 | 22 |
| 36.34 | 19 |

Cell and atoms:
abc: 17.7216 3.9451 8.6660
angles: 90.00 104.94 90.00
Space group C2/m (No. 12)
Asymmetric unit:
Pr 0.1473 0.0000 0.0809
Sm 0.0007 0.5000 0.8051
C 0.0000 0.0000 0.0000
I 0.0000 0.0000 0.5000
Cl 0.1626 0.5000 0.3228
Cl 0.1680 0.5000 0.8496

***

No. 2
Structure and theoretical XRD peak list of Pr2Sm2CI2Cl3 (a cell relaxed with GGA-PBE; Cu Ka).

Peak list (10 most intense, 10° ≤ 2θ ≤ 90°, by intensity)
| 2θ (°) | I_rel |
| --- | --- |
| 31.51 | 100 |
| 29.91 | 50 |
| 30.38 | 40 |
| 13.35 | 33 |
| 44.59 | 31 |
| 33.80 | 30 |
| 43.40 | 27 |
| 28.20 | 26 |
| 11.01 | 23 |
| 36.77 | 22 |

Cell and atoms:
abc: 18.2467 3.9465 8.1824
angles: 90.00 100.81 90.00
Space group C2/m (No. 12)
Asymmetric unit:
Pr 0.1410 0.0000 0.0638
Sm 0.0039 0.5000 0.7910
C 0.0000 0.0000 0.0000
I 0.1660 0.5000 0.3668
Cl 0.0000 0.0000 0.5000
Cl 0.1648 0.5000 0.8234

***

No. 3
Structure and theoretical XRD peak list of Pr2Sm2CI2Cl3 (a cell relaxed with GGA-PBE; Cu Ka).

Peak list (10 most intense, 10° ≤ 2θ ≤ 90°, by intensity)
| 2θ (°) | I_rel |
| --- | --- |
| 31.20 | 100 |
| 29.86 | 42 |
| 30.16 | 37 |
| 13.26 | 33 |
| 10.86 | 30 |
| 44.41 | 28 |
| 33.64 | 28 |
| 43.04 | 23 |
| 20.76 | 22 |
| 28.04 | 19 |

Cell and atoms:
abc: 18.2675 3.9742 8.2882
angles: 90.00 100.63 90.00
Space group C2/m (No. 12)
Asymmetric unit:
Pr 0.0049 0.0000 0.2883
Sm 0.1377 0.5000 0.5630
C 0.0000 0.5000 0.5000
I 0.1702 0.0000 0.8541
Cl 0.0000 0.5000 0.0000
Cl 0.1697 0.0000 0.3453

***

No. 4
Structure and theoretical XRD peak list of Pr2Sm2CI4Cl (a cell relaxed with GGA-PBE; Cu Ka).

Peak list (10 most intense, 10° ≤ 2θ ≤ 90°, by intensity)
| 2θ (°) | I_rel |
| --- | --- |
| 30.66 | 100 |
| 28.36 | 50 |
| 32.56 | 32 |
| 10.66 | 30 |
| 42.16 | 29 |
| 42.34 | 27 |
| 45.22 | 20 |
| 29.64 | 19 |
| 22.67 | 19 |
| 35.73 | 16 |

Cell and atoms:
abc: 19.3296 4.0107 8.4937
angles: 90.00 102.34 90.00
Space group C2/m (No. 12)
Asymmetric unit:
Pr 0.1346 0.0000 0.0678
Sm 0.0010 0.5000 0.7951
C 0.0000 0.0000 0.0000
I 0.1624 0.5000 0.3601
I 0.1686 0.5000 0.8044
Cl 0.0000 0.0000 0.5000

***

Q: Number 3 is which compound?
A: Pr2Sm2CI2Cl3

***

What did the fourth record say?
Structure and theoretical XRD peak list of Pr2Sm2CI4Cl (a cell relaxed with GGA-PBE; Cu Ka).

Peak list (10 most intense, 10° ≤ 2θ ≤ 90°, by intensity)
| 2θ (°) | I_rel |
| --- | --- |
| 30.66 | 100 |
| 28.36 | 50 |
| 32.56 | 32 |
| 10.66 | 30 |
| 42.16 | 29 |
| 42.34 | 27 |
| 45.22 | 20 |
| 29.64 | 19 |
| 22.67 | 19 |
| 35.73 | 16 |

Cell and atoms:
abc: 19.3296 4.0107 8.4937
angles: 90.00 102.34 90.00
Space group C2/m (No. 12)
Asymmetric unit:
Pr 0.1346 0.0000 0.0678
Sm 0.0010 0.5000 0.7951
C 0.0000 0.0000 0.0000
I 0.1624 0.5000 0.3601
I 0.1686 0.5000 0.8044
Cl 0.0000 0.0000 0.5000